# 1
Ce5Mg4Hg4: computed XRD peak list (Cu Kα (λ = 1.5418 Å)), based on a structure optimized by DFT (GGA-PBE).

Cell and atoms:
```
Ce5Mg4Hg4
1.0
-6.0646 6.0646 2.3613
6.0646 -6.0646 2.3613
6.0646 6.0646 -2.3613
Ce Mg Hg
5 4 4
direct
0.0000 0.0000 0.0000
0.3043 0.3778 0.6821
0.3778 0.6957 0.0734
0.6222 0.3043 0.9266
0.6957 0.6222 0.3179
0.1031 0.5823 0.6854
0.4177 0.1031 0.5207
0.5823 0.8969 0.4793
0.8969 0.4177 0.3146
0.0678 0.2566 0.3244
0.2566 0.9322 0.1888
0.7434 0.0678 0.8112
0.9322 0.7434 0.6756
```

Most intense lines, 2θ from 10° to 90°, sorted by position:
2θ (°)	Rel. int.
25.00	688
29.07	716
32.68	859
33.03	572
35.97	1000
38.11	445
43.51	315
51.30	333

=====

# 2
Ce6PuMnHg2: computed XRD peak list (Cu Kα (λ = 1.5418 Å)), based on a structure optimized by DFT (GGA-PBE).

Cell and atoms:
```
Ce6PuMnHg2
1.0
-3.6288 3.6288 5.0367
3.6288 -3.6288 5.0367
3.6288 3.6288 -5.0367
Ce Pu Mn Hg
6 1 1 2
direct
0.0000 0.0000 0.0000
0.0036 0.0036 0.5200
0.0036 0.4837 0.0000
0.4837 0.0036 0.0000
0.4837 0.4837 0.4800
0.4926 0.4926 0.0000
0.2421 0.2421 0.0000
0.7141 0.7141 0.0000
0.4895 0.9895 0.5000
0.9895 0.4895 0.5000
```

Most intense lines, 2θ from 10° to 90°, sorted by position:
2θ (°)	Rel. int.
24.77	312
30.36	1000
34.97	886
35.65	416
50.29	314
50.80	604
59.88	281
63.16	310

=====

# 3
NaCeHg4: computed XRD peak list (Cu Kα (λ = 1.5418 Å)), based on a structure optimized by DFT (GGA-PBE).

Cell and atoms:
```
NaCeHg4
1.0
3.2896 0.0000 0.0000
0.0000 5.1029 0.0000
-0.0158 0.0000 8.9563
Na Ce Hg
1 1 4
direct
0.0000 0.0000 0.0000
0.0000 0.5000 0.5000
0.4981 0.0000 0.3308
0.4992 0.5000 0.1612
0.5008 0.5000 0.8388
0.5019 0.0000 0.6692
```

Most intense lines, 2θ from 10° to 90°, sorted by position:
2θ (°)	Rel. int.
20.03	239
27.11	412
33.81	354
33.93	752
34.82	1000
35.17	489
44.67	443
49.59	243